Computed X-ray diffraction stick pattern
Compound: Rb2IF4
Radiation: Cu Ka
Structure: a PBE-relaxed structure
Peak positions follow from Bragg's law for the DFT cell and can differ from measured ones.

Largest 12 diffraction maxima, in order of rising 2θ, 2θ = 10–80°:
hkl 1 1 1, 17.5°, 5.054 Å, rel. 100; hkl 0 2 2, 26.4°, 3.373 Å, rel. 50; hkl 2 0 2, 28.5°, 3.133 Å, rel. 79; hkl 1 1 3, 29.0°, 3.078 Å, rel. 22; hkl 2 2 0, 31.4°, 2.847 Å, rel. 61; hkl 0 0 4, 32.6°, 2.744 Å, rel. 44; hkl 1 3 1, 34.6°, 2.594 Å, rel. 16; hkl 0 4 0, 42.3°, 2.138 Å, rel. 21; hkl 2 2 4, 45.9°, 1.976 Å, rel. 41; hkl 2 4 2, 51.8°, 1.766 Å, rel. 29; hkl 0 4 4, 54.4°, 1.686 Å, rel. 22; hkl 2 0 6, 55.7°, 1.650 Å, rel. 17

Cell and atoms:
```
data_Rb2IF4
_chemical_formula_sum 'Rb8 I4 F16'
_cell_length_a 7.6330
_cell_length_b 8.5501
_cell_length_c 10.9757
_cell_angle_alpha 90.00
_cell_angle_beta 90.00
_cell_angle_gamma 90.00
_space_group_name_H-M_alt 'F m m m'
_space_group_IT_number 69
_space_group_name_Hall '-F 2 2'
loop_
_atom_site_label
_atom_site_fract_x
_atom_site_fract_y
_atom_site_fract_z
_atom_site_occupancy
Rb1 0.2500 0.2500 0.2500 1
I1 0.0000 0.0000 0.0000 1
F1 0.0000 0.0000 0.2343 1
F2 0.0000 0.2422 0.0000 1
```

Computed X-ray diffraction stick pattern
Compound: NaNb13O33
Radiation: Cu Ka
Structure: a PBE-relaxed structure
Peak positions follow from Bragg's law for the DFT cell and can differ from measured ones.

Largest 12 diffraction maxima, in order of rising 2θ, 2θ = 10–80°:
hkl 4 0 -1, 16.4°, 5.418 Å, rel. 42; hkl 2 0 3, 18.9°, 4.707 Å, rel. 34; hkl 1 1 0, 23.3°, 3.816 Å, rel. 92; hkl 2 0 4, 24.2°, 3.679 Å, rel. 100; hkl 6 0 -2, 25.7°, 3.464 Å, rel. 79; hkl 5 1 -1, 30.7°, 2.912 Å, rel. 40; hkl 3 1 3, 31.2°, 2.864 Å, rel. 33; hkl 5 1 -2, 32.2°, 2.780 Å, rel. 26; hkl 8 0 2, 33.7°, 2.663 Å, rel. 30; hkl 0 2 0, 47.0°, 1.935 Å, rel. 37; hkl 5 1 7, 51.6°, 1.771 Å, rel. 27; hkl 11 1 -3, 52.6°, 1.741 Å, rel. 34

Cell and atoms:
```
data_NaNb13O33
_chemical_formula_sum 'Na2 Nb26 O66'
_cell_length_a 22.8773
_cell_length_b 3.8699
_cell_length_c 15.6867
_cell_angle_alpha 90.00
_cell_angle_beta 91.52
_cell_angle_gamma 90.00
_space_group_name_H-M_alt 'C 1 2/m 1'
_space_group_IT_number 12
_space_group_name_Hall '-C 2y'
loop_
_atom_site_label
_atom_site_fract_x
_atom_site_fract_y
_atom_site_fract_z
_atom_site_occupancy
Na1 0.0000 0.0000 0.0000 1
Nb1 0.0000 0.5000 0.5000 1
Nb2 0.0704 0.5000 0.7286 1
Nb3 0.0867 0.5000 0.1753 1
Nb4 0.1368 0.5000 0.9686 1
Nb5 0.1552 0.5000 0.4040 1
Nb6 0.2080 0.0000 0.1264 1
Nb7 0.2244 0.5000 0.6365 1
O1 0.0000 0.0000 0.5000 1
O2 0.0117 0.5000 0.2089 1
O3 0.0347 0.5000 0.6201 1
O4 0.0686 0.5000 0.0454 1
O5 0.0705 0.0000 0.7465 1
O6 0.0820 0.5000 0.4519 1
O7 0.0993 0.5000 0.8667 1
O8 0.1099 0.0000 0.1636 1
O9 0.1279 0.5000 0.2875 1
O10 0.1524 0.0000 0.9968 1
O11 0.1529 0.5000 0.6941 1
O12 0.1798 0.0000 0.4002 1
O13 0.1818 0.5000 0.1117 1
O14 0.1945 0.5000 0.5267 1
O15 0.2223 0.5000 0.9305 1
O16 0.2336 0.0000 0.2358 1
O17 0.2493 0.0000 0.6369 1
```

Computed X-ray diffraction stick pattern
Compound: Te4WCl6
Radiation: Cu Ka
Structure: a PBE-relaxed structure
Peak positions follow from Bragg's law for the DFT cell and can differ from measured ones.

Largest 12 diffraction maxima, in order of rising 2θ, 2θ = 10–80°:
hkl 1 1 -2, 14.9°, 5.948 Å, rel. 48; hkl 0 4 0, 16.0°, 5.554 Å, rel. 100; hkl 2 0 0, 16.4°, 5.402 Å, rel. 22; hkl 1 3 1, 18.3°, 4.849 Å, rel. 30; hkl 1 1 -3, 22.1°, 4.026 Å, rel. 35; hkl 2 4 0, 23.0°, 3.873 Å, rel. 48; hkl 2 2 -3, 23.7°, 3.758 Å, rel. 34; hkl 1 3 2, 24.3°, 3.657 Å, rel. 22; hkl 2 0 -4, 29.0°, 3.084 Å, rel. 45; hkl 0 6 3, 34.4°, 2.609 Å, rel. 30; hkl 5 3 -3, 39.6°, 2.278 Å, rel. 26; hkl 1 3 5, 47.2°, 1.927 Å, rel. 25

Cell and atoms:
```
data_Te4WCl6
_chemical_formula_sum 'Te32 W8 Cl48'
_cell_length_a 12.1027
_cell_length_b 22.2215
_cell_length_c 12.3741
_cell_angle_alpha 90.00
_cell_angle_beta 116.78
_cell_angle_gamma 90.00
_space_group_name_H-M_alt 'C 1 2/c 1'
_space_group_IT_number 15
_space_group_name_Hall '-C 2yc'
loop_
_atom_site_label
_atom_site_fract_x
_atom_site_fract_y
_atom_site_fract_z
_atom_site_occupancy
Te1 0.0371 0.0971 0.1467 1
Te2 0.0647 0.2158 0.4220 1
Te3 0.2152 0.3754 0.7198 1
Te4 0.2161 0.3464 0.4970 1
W1 0.2124 0.3875 0.1049 1
Cl1 0.0462 0.4389 0.1082 1
Cl2 0.0688 0.3385 0.9246 1
Cl3 0.1317 0.1695 0.9014 1
Cl4 0.1511 0.0654 0.7164 1
Cl5 0.1799 0.3092 0.2197 1
Cl6 0.2420 0.4626 0.9890 1
```

Computed X-ray diffraction stick pattern
Compound: PmDy12Y3
Radiation: Cu Ka
Structure: a PBE-relaxed structure
Peak positions follow from Bragg's law for the DFT cell and can differ from measured ones.

Largest 12 diffraction maxima, in order of rising 2θ, 2θ = 10–80°:
hkl 1 0 0, 17.6°, 5.028 Å, rel. 2; hkl 1 1 0, 25.0°, 3.555 Å, rel. 2; hkl 1 1 4, 30.8°, 2.903 Å, rel. 100; hkl 2 0 0, 35.7°, 2.514 Å, rel. 51; hkl 2 1 0, 40.1°, 2.249 Å, rel. 1; hkl 2 1 4, 44.1°, 2.053 Å, rel. 1; hkl 2 2 0, 51.4°, 1.778 Å, rel. 36; hkl 3 0 0, 54.8°, 1.676 Å, rel. 1; hkl 3 1 4, 61.1°, 1.516 Å, rel. 43; hkl 2 2 8, 64.2°, 1.451 Å, rel. 12; hkl 3 2 4, 70.0°, 1.344 Å, rel. 1; hkl 4 0 0, 75.7°, 1.257 Å, rel. 6

Cell and atoms:
```
data_PmDy12Y3
_chemical_formula_sum 'Pm1 Dy12 Y3'
_cell_length_a 5.0295
_cell_length_b 5.0295
_cell_length_c 20.0997
_cell_angle_alpha 90.00
_cell_angle_beta 90.00
_cell_angle_gamma 90.00
_space_group_name_H-M_alt 'P 4/m m m'
_space_group_IT_number 123
_space_group_name_Hall '-P 4 2'
loop_
_atom_site_label
_atom_site_fract_x
_atom_site_fract_y
_atom_site_fract_z
_atom_site_occupancy
Pm1 0.0000 0.0000 0.0000 1
Dy1 0.0000 0.5000 0.1256 1
Dy2 0.0000 0.5000 0.3753 1
Dy3 0.5000 0.5000 0.0000 1
Dy4 0.5000 0.5000 0.2509 1
Dy5 0.5000 0.5000 0.5000 1
Y1 0.0000 0.0000 0.2505 1
Y2 0.0000 0.0000 0.5000 1
```

Computed X-ray diffraction stick pattern
Compound: V12Ga6W
Radiation: Cu Ka
Structure: a PBE-relaxed structure
Peak positions follow from Bragg's law for the DFT cell and can differ from measured ones.

Largest 12 diffraction maxima, in order of rising 2θ, 2θ = 10–80°:
hkl 1 0 1, 13.6°, 6.496 Å, rel. 60; hkl 0 1 2, 19.4°, 4.575 Å, rel. 36; hkl 3 -1 1, 30.7°, 2.914 Å, rel. 30; hkl 0 2 4, 39.4°, 2.288 Å, rel. 18; hkl 1 3 1, 41.6°, 2.173 Å, rel. 100; hkl 0 3 3, 41.7°, 2.165 Å, rel. 63; hkl 0 1 5, 42.0°, 2.150 Å, rel. 53; hkl 4 -1 2, 44.0°, 2.059 Å, rel. 92; hkl 3 -1 4, 44.2°, 2.049 Å, rel. 49; hkl 2 2 3, 46.3°, 1.960 Å, rel. 26; hkl 5 2 0, 74.2°, 1.279 Å, rel. 20; hkl 5 2 3, 79.2°, 1.210 Å, rel. 16

Cell and atoms:
```
data_V12Ga6W
_chemical_formula_sum 'V36 Ga18 W3'
_cell_length_a 9.2227
_cell_length_b 9.2227
_cell_length_c 11.1633
_cell_angle_alpha 90.00
_cell_angle_beta 90.00
_cell_angle_gamma 120.00
_space_group_name_H-M_alt 'R -3'
_space_group_IT_number 148
_space_group_name_Hall '-R 3'
loop_
_atom_site_label
_atom_site_fract_x
_atom_site_fract_y
_atom_site_fract_z
_atom_site_occupancy
V1 0.0490 0.1824 0.3071 1
V2 0.0679 0.8489 0.9153 1
Ga1 0.0228 0.4337 0.2109 1
W1 0.0000 0.0000 0.5000 1
```

Computed X-ray diffraction stick pattern
Compound: Ac2Tb5Y6
Radiation: Cu Ka
Structure: a PBE-relaxed structure
Peak positions follow from Bragg's law for the DFT cell and can differ from measured ones.

Largest 12 diffraction maxima, in order of rising 2θ, 2θ = 10–80°:
hkl 0 2 1, 25.9°, 3.445 Å, rel. 14; hkl 1 6 0, 27.2°, 3.281 Å, rel. 11; hkl 4 1 0, 30.1°, 2.968 Å, rel. 31; hkl 1 4 1, 31.0°, 2.888 Å, rel. 34; hkl 4 2 0, 31.1°, 2.878 Å, rel. 19; hkl 3 5 0, 31.3°, 2.860 Å, rel. 19; hkl 1 7 0, 31.5°, 2.840 Å, rel. 100; hkl 2 4 1, 33.6°, 2.665 Å, rel. 15; hkl 3 3 1, 35.8°, 2.510 Å, rel. 16; hkl 1 8 1, 43.8°, 2.065 Å, rel. 12; hkl 0 0 2, 49.9°, 1.829 Å, rel. 13; hkl 6 2 1, 52.9°, 1.729 Å, rel. 14

Cell and atoms:
```
data_Ac2Tb5Y6
_chemical_formula_sum 'Ac4 Tb10 Y12'
_cell_length_a 11.9981
_cell_length_b 20.4634
_cell_length_c 3.6571
_cell_angle_alpha 90.00
_cell_angle_beta 90.00
_cell_angle_gamma 90.00
_space_group_name_H-M_alt 'P b a m'
_space_group_IT_number 55
_space_group_name_Hall '-P 2 2ab'
loop_
_atom_site_label
_atom_site_fract_x
_atom_site_fract_y
_atom_site_fract_z
_atom_site_occupancy
Ac1 0.1595 0.2207 0.0000 1
Tb1 0.0000 0.5000 0.5000 1
Tb2 0.1017 0.7817 0.5000 1
Tb3 0.2011 0.0509 0.5000 1
Y1 0.0583 0.9242 0.0000 1
Y2 0.0770 0.6369 0.0000 1
Y3 0.1814 0.3813 0.5000 1
```